No. 1
BaPd2O4: theoretical powder XRD pattern (Cu Kα (weighted mean of Kα1 and Kα2)), based on DFT lattice parameters and positions (PBE).

Atomic structure:
```
14
Lattice="-3.1929 3.1929 5.2224 3.1929 -3.1929 5.2224 3.1929 3.1929 -5.2224" Properties=species:S:1:pos:R:3 pbc="T T T"
Ba 0.0000 1.5964 1.3056
Ba 3.1929 1.5964 3.9168
Pd 1.5964 1.5964 -2.6112
Pd 1.5964 -1.5964 2.6112
Pd 3.1929 0.0000 0.0000
Pd 0.0000 0.0000 5.2224
O 4.8721 0.6370 -0.8599
O 4.1524 0.0828 1.7513
O 1.5136 2.5559 -0.8599
O 0.9595 0.0828 3.4711
O 2.2334 3.1100 1.7513
O 1.6793 0.6370 6.0823
O -0.9595 3.1100 3.4711
O -1.6793 2.5559 6.0823
```

Principal peaks in the range 2θ = 10–90°, by angle:
2theta	I (rel.)
26.09	32.3
29.22	48.1
32.50	100.0
32.88	45.2
45.70	19.2
48.32	14.0
50.24	16.8
52.40	20.5
53.67	33.2
68.07	13.3

---

No. 2
MgTiBi: theoretical powder XRD pattern (Cu Kα (weighted mean of Kα1 and Kα2)), based on DFT lattice parameters and positions (PBE).

Atomic structure:
```
6
Lattice="4.3038 0.0000 0.0000 0.0000 4.3038 0.0000 0.0000 0.0000 7.3063" Properties=species:S:1:pos:R:3 pbc="T T T"
Mg 1.0759 1.0759 1.4596
Mg 3.2278 3.2278 5.8467
Ti 1.0759 3.2278 3.6532
Ti 3.2278 1.0759 3.6532
Bi 1.0759 1.0759 5.7405
Bi 3.2278 3.2278 1.5658
```

Principal peaks in the range 2θ = 10–90°, by angle:
2theta	I (rel.)
24.00	100.0
24.37	19.5
29.35	33.5
31.85	16.7
38.50	62.7
41.99	29.7
42.66	15.9
48.94	31.6
49.14	12.9
74.38	18.2

---

- What is the formula in the first record?
  BaPd2O4